Cs7CaAu5O2: calculated powder XRD pattern (Cu Ka), based on the PBE geometry in the Materials Project.
Peak positions follow from Bragg's law for the DFT cell and can differ from measured ones.

Top 10 peaks for 5 to 70 degrees two-theta, low angle first:
| d (Å) | I (rel.) |
| --- | --- |
| 3.345 | 100 |
| 3.216 | 39 |
| 3.123 | 48 |
| 2.996 | 39 |
| 2.801 | 20 |
| 2.241 | 27 |
| 2.085 | 18 |
| 1.842 | 20 |
| 1.756 | 20 |
| 1.601 | 21 |

Unit cell a=10.564 b=10.564 c=6.245 alpha=107.14 beta=107.14 gamma=64.10
Fractional coordinates of all 15 atoms:
Cs 0.000 0.000 0.000
Cs 0.021 0.382 0.191
Cs 0.198 0.577 0.884
Cs 0.374 0.756 0.561
Cs 0.382 0.021 0.191
Cs 0.577 0.198 0.884
Cs 0.756 0.374 0.561
Ca 0.752 0.752 0.261
Au 0.173 0.173 0.665
Au 0.385 0.385 0.382
Au 0.570 0.570 0.067
Au 0.775 0.775 0.784
Au 0.925 0.925 0.425
O 0.381 0.747 0.061
O 0.747 0.381 0.061

CaAu2F12: calculated powder XRD pattern (Cu Ka), based on the PBE geometry in the Materials Project.
Peak positions follow from Bragg's law for the DFT cell and can differ from measured ones.

Top 10 peaks for 5 to 70 degrees two-theta, low angle first:
| d (Å) | I (rel.) |
| --- | --- |
| 4.606 | 100 |
| 4.054 | 42 |
| 3.870 | 18 |
| 2.866 | 12 |
| 2.799 | 22 |
| 2.434 | 36 |
| 2.352 | 18 |
| 2.027 | 15 |
| 1.818 | 15 |
| 1.557 | 11 |

Unit cell a=5.733 b=5.733 c=7.739 alpha=90.00 beta=90.00 gamma=90.00
Fractional coordinates of all 15 atoms:
Ca 0.000 0.000 0.000
Au 0.000 0.500 0.241
Au 0.500 0.000 0.759
F 0.000 0.500 0.490
F 0.000 0.500 0.988
F 0.222 0.243 0.227
F 0.222 0.757 0.227
F 0.243 0.222 0.773
F 0.243 0.778 0.773
F 0.500 0.000 0.012
F 0.500 0.000 0.510
F 0.757 0.222 0.773
F 0.757 0.778 0.773
F 0.778 0.243 0.227
F 0.778 0.757 0.227